Theoretical X-ray powder pattern
Compound: Li2Cu4S3
Radiation: Cu Kα, 1.54184 Å
Structure: the PBE geometry in the Materials Project
Intensities are scaled so that the largest is 1000.

Peak list (6 most intense, 10° ≤ 2θ ≤ 90°, in order of falling intensity)
h k l, 2theta, d (Å), I (rel.)
2 0 3, 25.30, 3.520, 1000
1 0 3, 20.42, 4.349, 815
3 1 5, 47.34, 1.920, 679
0 1 5, 39.04, 2.307, 597
0 2 0, 46.94, 1.936, 503
5 1 2, 51.51, 1.774, 498

Structural model:
Lattice parameters (Å, degrees): 10.3907 3.8717 14.3666 90.00 90.00 90.00
Space group Pnma (No. 62)
Asymmetric unit:
Li (0.0447, 0.2500, 0.2480) [4 per cell]
Li (0.1341, 0.2500, 0.6353) [4 per cell]
Cu (0.0938, 0.7500, 0.5170) [4 per cell]
Cu (0.1082, 0.7500, 0.1301) [4 per cell]
Cu (0.2003, 0.7500, 0.7614) [4 per cell]
Cu (0.2170, 0.7500, 0.3691) [4 per cell]
S (0.0859, 0.2500, 0.8016) [4 per cell]
S (0.1054, 0.2500, 0.4103) [4 per cell]
S (0.2163, 0.2500, 0.1119) [4 per cell]